TbY3Se4: calculated PXRD pattern (Cu Kα (weighted mean of Kα1 and Kα2)), based on DFT lattice parameters and positions (GGA-PBE).
Lines closer than 0.1° are merged.

Principal peaks in the range 2θ from 10° to 90°, low angle first:
- 2θ = 15.3°, intensity 4
- 2θ = 21.7°, intensity 4
- 2θ = 26.7°, intensity 4
- 2θ = 30.9°, intensity 100
- 2θ = 34.7°, intensity 2
- 2θ = 44.3°, intensity 73
- 2θ = 55.0°, intensity 25
- 2θ = 64.4°, intensity 12
- 2θ = 73.2°, intensity 32
- 2θ = 81.5°, intensity 24

```
8
Lattice="5.784 0.000 0.000 0.000 5.784 0.000 0.000 0.000 5.784" Properties=species:S:1:pos:R:3 pbc="T T T"
Tb 0.000 0.000 0.000
Y 0.000 2.892 2.892
Y 2.892 0.000 2.892
Y 2.892 2.892 0.000
Se 0.000 0.000 2.892
Se 0.000 2.892 0.000
Se 2.892 0.000 0.000
Se 2.892 2.892 2.892
```

***

PuZrRu2: calculated PXRD pattern (Cu Kα (weighted mean of Kα1 and Kα2)), based on DFT lattice parameters and positions (GGA-PBE).
Lines closer than 0.1° are merged.

Principal peaks in the range 2θ from 10° to 90°, low angle first:
- 2θ = 37.5°, intensity 26
- 2θ = 38.3°, intensity 100
- 2θ = 38.5°, intensity 25
- 2θ = 54.8°, intensity 17
- 2θ = 55.8°, intensity 8
- 2θ = 68.2°, intensity 17
- 2θ = 69.1°, intensity 9
- 2θ = 69.6°, intensity 18
- 2θ = 69.8°, intensity 9
- 2θ = 82.0°, intensity 11

```
8
Lattice="4.673 0.000 0.000 0.000 3.296 0.000 0.000 0.000 9.603" Properties=species:S:1:pos:R:3 pbc="T T T"
Pu 1.168 0.000 1.211
Pu 3.505 0.000 8.392
Zr 1.168 0.000 5.953
Zr 3.505 0.000 3.650
Ru 1.168 1.648 3.677
Ru 1.168 1.648 8.285
Ru 3.505 1.648 1.318
Ru 3.505 1.648 5.925
```

***

Sc5Tl2Ir: calculated PXRD pattern (Cu Kα (weighted mean of Kα1 and Kα2)), based on DFT lattice parameters and positions (GGA-PBE).
Lines closer than 0.1° are merged.

Principal peaks in the range 2θ from 10° to 90°, low angle first:
- 2θ = 20.4°, intensity 32
- 2θ = 24.3°, intensity 45
- 2θ = 24.8°, intensity 91
- 2θ = 26.4°, intensity 78
- 2θ = 28.8°, intensity 31
- 2θ = 34.8°, intensity 100
- 2θ = 35.9°, intensity 77
- 2θ = 37.2°, intensity 32
- 2θ = 38.7°, intensity 59
- 2θ = 47.6°, intensity 48

```
16
Lattice="6.425 0.000 0.000 0.000 11.874 0.000 0.000 0.000 4.648" Properties=species:S:1:pos:R:3 pbc="T T T"
Sc 0.000 0.000 0.000
Sc 0.776 3.396 0.000
Sc 1.101 6.945 2.324
Sc 2.111 1.008 2.324
Sc 2.437 9.333 0.000
Sc 3.213 5.937 0.000
Sc 3.988 2.541 0.000
Sc 4.314 10.866 2.324
Sc 5.324 4.929 2.324
Sc 5.650 8.478 0.000
Tl 0.712 9.975 2.324
Tl 2.501 4.038 2.324
Tl 3.925 7.836 2.324
Tl 5.713 1.899 2.324
Ir 0.000 5.937 0.000
Ir 3.213 0.000 0.000
```

***

Ce2SmOs9: calculated PXRD pattern (Cu Kα (weighted mean of Kα1 and Kα2)), based on DFT lattice parameters and positions (GGA-PBE).
Lines closer than 0.1° are merged.

Principal peaks in the range 2θ from 10° to 90°, low angle first:
- 2θ = 19.3°, intensity 62
- 2θ = 33.7°, intensity 71
- 2θ = 38.6°, intensity 72
- 2θ = 39.0°, intensity 96
- 2θ = 39.5°, intensity 89
- 2θ = 39.8°, intensity 79
- 2θ = 41.2°, intensity 75
- 2θ = 42.4°, intensity 100
- 2θ = 43.0°, intensity 42
- 2θ = 45.6°, intensity 44

```
12
Lattice="4.573 -2.721 0.000 4.573 2.721 0.000 -3.131 0.000 8.767" Properties=species:S:1:pos:R:3 pbc="T T T"
Ce -0.061 0.000 3.705
Ce 6.076 0.000 5.062
Sm 0.000 0.000 0.000
Os 2.267 1.343 2.072
Os 3.299 0.000 0.045
Os 1.380 0.000 6.474
Os 3.748 1.343 6.694
Os 3.008 0.000 4.383
Os 2.267 -1.343 2.072
Os 4.635 0.000 2.292
Os 2.716 0.000 8.722
Os 3.748 -1.343 6.694
```